No. 1
Li4Sn5: computed PXRD pattern (a wavelength of 1.5418 Å), based on the PBE geometry in Alexandria.
No peak broadening, texture or thermal motion is included.

Structural model:
```
9
Lattice="5.3079 -4.6851 0.0000 5.3079 4.6851 0.0000 -1.8974 0.0000 4.0891" Properties=species:S:1:pos:R:3 pbc="T T T"
Li 1.9806 3.1217 3.4168
Li 6.7378 3.1217 0.6723
Li 1.9806 -3.1217 3.4168
Li 6.7378 -3.1217 0.6723
Sn -0.9487 0.0000 2.0446
Sn 1.8570 0.0000 3.3665
Sn 4.3592 1.6131 2.0446
Sn 4.3592 -1.6131 2.0446
Sn 6.8614 0.0000 0.7226
```

The 10 most intense peaks (10° ≤ 2θ ≤ 90°), by intensity:
2theta, I/Imax
34.95, 100
40.29, 67
34.23, 52
34.36, 52
21.77, 51
21.88, 47
40.00, 35
18.94, 27
70.20, 27
18.43, 25

No. 2
Ac4ZrGe5: computed PXRD pattern (a wavelength of 1.5418 Å), based on the PBE geometry in Alexandria.
No peak broadening, texture or thermal motion is included.

Structural model:
```
10
Lattice="-4.9693 4.9693 3.1211 4.9693 -4.9693 3.1211 4.9693 4.9693 -3.1211" Properties=species:S:1:pos:R:3 pbc="T T T"
Ac 3.0014 0.8973 0.0000
Ac 4.0720 -1.9679 3.1211
Ac 0.8973 6.9372 0.0000
Ac 1.9679 4.0720 3.1211
Zr 0.0000 0.0000 3.1205
Ge 5.8900 2.3345 -0.0002
Ge 2.3345 4.0485 -0.0002
Ge 2.6348 0.9207 3.1209
Ge -0.9207 2.6348 3.1209
Ge 0.0000 0.0000 6.2309
```

The 10 most intense peaks (10° ≤ 2θ ≤ 90°), by intensity:
2theta, I/Imax
28.40, 100
40.74, 77
24.59, 62
28.60, 51
50.41, 38
40.60, 35
48.04, 26
73.96, 20
66.95, 18
66.63, 15